Calculated powder XRD pattern of Ca3Ag2Pd3 for a wavelength of 1.5418 Å, from a structure optimized by DFT (GGA-PBE).
No peak broadening, texture or thermal motion is included.

Largest 12 diffraction maxima, in order of rising 2θ, 10 to 80 degrees two-theta:
2θ (°), I/Imax
19.01, 28
21.36, 18
22.10, 16
34.70, 49
36.07, 100
38.34, 19
38.72, 21
40.69, 18
40.88, 51
41.29, 15
71.34, 14
75.79, 13

Cell and atoms:
```
data_Ca3Ag2Pd3
_chemical_formula_sum 'Ca6 Ag4 Pd6'
_space_group_name_H-M_alt 'P 1'
_space_group_IT_number 1
_space_group_name_Hall 'P 1'
_cell_length_a 5.3604
_cell_length_b 5.3604
_cell_length_c 15.8659
_cell_angle_alpha 90.00
_cell_angle_beta 90.00
_cell_angle_gamma 131.39
loop_
_atom_site_label
_atom_site_type_symbol
_atom_site_fract_x
_atom_site_fract_y
_atom_site_fract_z
_atom_site_occupancy
Ca1 Ca 0.0408 0.9592 0.7500 1
Ca2 Ca 0.1436 0.8564 0.5438 1
Ca3 Ca 0.1436 0.8564 0.9562 1
Ca4 Ca 0.8564 0.1436 0.0438 1
Ca5 Ca 0.8564 0.1436 0.4562 1
Ca6 Ca 0.9592 0.0408 0.2500 1
Ag1 Ag 0.2340 0.7660 0.1522 1
Ag2 Ag 0.2340 0.7660 0.3478 1
Ag3 Ag 0.7660 0.2340 0.6522 1
Ag4 Ag 0.7660 0.2340 0.8478 1
Pd1 Pd 0.3370 0.6630 0.7500 1
Pd2 Pd 0.4468 0.5532 0.5878 1
Pd3 Pd 0.4468 0.5532 0.9122 1
Pd4 Pd 0.5532 0.4468 0.0878 1
Pd5 Pd 0.5532 0.4468 0.4122 1
Pd6 Pd 0.6630 0.3370 0.2500 1
```